(1)
Theoretical XRD peak list
Compound: Li7Co5O12
Radiation: a wavelength of 1.5418 Å
Structure: DFT lattice parameters and positions (PBE+U)

Atomic structure:
```
24
Lattice="5.030 0.000 0.000 0.000 8.730 0.000 -1.723 0.000 4.809" Properties=species:S:1:pos:R:3 pbc="T T T"
Li 0.000 0.000 0.000
Li -0.862 1.371 2.404
Li -0.862 4.365 2.404
Li -0.862 7.359 2.404
Li 1.653 0.000 2.404
Li 1.653 2.900 2.404
Li 1.653 5.829 2.404
Co 0.000 2.919 0.000
Co 0.000 5.811 0.000
Co 2.515 1.414 0.000
Co 2.515 4.365 0.000
Co 2.515 7.316 0.000
O 0.741 4.365 1.060
O 0.834 1.632 1.061
O 0.834 7.098 1.061
O -0.093 2.973 3.762
O -0.093 5.756 3.762
O 0.077 0.000 3.627
O 3.229 0.000 1.182
O 3.399 2.973 1.046
O 3.399 5.756 1.046
O 2.472 1.632 3.748
O 2.472 7.098 3.748
O 2.566 4.365 3.749
```

Most intense lines, 10° ≤ 2θ ≤ 80°, by angle:
- 2θ 10.13, 8.730 Å, rel. 15.4
- 2θ 18.45, 4.809 Å, rel. 100.0
- 2θ 21.37, 4.158 Å, rel. 9.0
- 2θ 36.22, 2.480 Å, rel. 39.0
- 2θ 37.77, 2.382 Å, rel. 8.2
- 2θ 43.68, 2.072 Å, rel. 27.5
- 2θ 43.95, 2.060 Å, rel. 53.4
- 2θ 47.82, 1.902 Å, rel. 8.9
- 2θ 57.96, 1.591 Å, rel. 9.7
- 2θ 63.28, 1.470 Å, rel. 14.4
- 2θ 64.11, 1.453 Å, rel. 14.5
- 2θ 67.19, 1.393 Å, rel. 9.1

(2)
Theoretical XRD peak list
Compound: KPrV4O12
Radiation: a wavelength of 1.5418 Å
Structure: DFT lattice parameters and positions (PBE+U)

Atomic structure:
```
18
Lattice="7.219 0.000 0.000 0.000 3.614 4.824 0.000 -3.614 4.824" Properties=species:S:1:pos:R:3 pbc="T T T"
K 0.000 0.000 0.000
Pr 3.610 0.000 4.940
V 1.824 -1.821 2.438
V 1.824 1.821 2.438
V 5.395 -1.821 2.438
V 5.395 1.821 2.438
O 0.000 -1.888 7.015
O 0.000 1.888 7.015
O 1.741 0.000 6.595
O 1.974 0.000 2.206
O 2.035 -1.911 4.097
O 2.035 1.911 4.097
O 3.610 -1.681 6.613
O 3.610 1.681 6.613
O 5.184 -1.911 4.097
O 5.184 1.911 4.097
O 5.245 0.000 2.206
O 5.478 0.000 6.595
```

Most intense lines, 10° ≤ 2θ ≤ 80°, by angle:
- 2θ 12.26, 7.219 Å, rel. 25.4
- 2θ 15.32, 5.785 Å, rel. 23.6
- 2θ 19.67, 4.514 Å, rel. 82.6
- 2θ 30.93, 2.891 Å, rel. 100.0
- 2θ 32.91, 2.721 Å, rel. 22.2
- 2θ 35.14, 2.554 Å, rel. 27.7
- 2θ 37.28, 2.412 Å, rel. 21.4
- 2θ 40.59, 2.223 Å, rel. 26.1
- 2θ 50.54, 1.806 Å, rel. 34.5
- 2θ 52.16, 1.754 Å, rel. 19.7
- 2θ 60.44, 1.532 Å, rel. 28.2
- 2θ 63.31, 1.469 Å, rel. 16.8

(3)
Theoretical XRD peak list
Compound: Co2OF3
Radiation: a wavelength of 1.5418 Å
Structure: DFT lattice parameters and positions (PBE+U)

Atomic structure:
```
30
Lattice="15.901 0.000 0.000 0.000 3.404 3.207 0.000 -3.404 3.207" Properties=species:S:1:pos:R:3 pbc="T T T"
Co 0.000 0.000 0.000
Co 1.593 0.000 2.924
Co 3.180 0.000 6.286
Co 4.768 0.000 3.236
Co 6.359 0.000 6.162
Co 7.951 0.000 3.192
Co 9.542 0.000 6.162
Co 11.133 0.000 3.236
Co 12.721 0.000 6.286
Co 14.309 0.000 2.924
O 1.624 0.000 1.143
O 4.736 0.000 5.016
O 7.951 0.000 4.980
O 11.165 0.000 5.016
O 14.277 0.000 1.143
F 0.000 -1.325 3.082
F 0.000 1.325 3.082
F 1.564 0.000 4.932
F 3.181 -1.322 3.080
F 3.181 1.322 3.080
F 4.797 0.000 1.227
F 6.358 -1.325 3.068
F 6.358 1.325 3.068
F 7.951 0.000 1.195
F 9.544 -1.325 3.068
F 9.544 1.325 3.068
F 11.104 0.000 1.227
F 12.720 -1.322 3.080
F 12.720 1.322 3.080
F 14.337 0.000 4.932
```

Most intense lines, 10° ≤ 2θ ≤ 80°, by angle:
- 2θ 26.18, 3.404 Å, rel. 87.8
- 2θ 27.82, 3.207 Å, rel. 73.3
- 2θ 34.11, 2.628 Å, rel. 100.0
- 2θ 38.57, 2.334 Å, rel. 13.1
- 2θ 38.75, 2.324 Å, rel. 15.0
- 2θ 39.92, 2.258 Å, rel. 15.8
- 2θ 51.48, 1.775 Å, rel. 61.8
- 2θ 53.36, 1.717 Å, rel. 42.4
- 2θ 53.87, 1.702 Å, rel. 16.7
- 2θ 57.47, 1.604 Å, rel. 12.7
- 2θ 58.00, 1.590 Å, rel. 17.9
- 2θ 66.94, 1.398 Å, rel. 34.5

(4)
Theoretical XRD peak list
Compound: Mg6MnBO8
Radiation: a wavelength of 1.5418 Å
Structure: DFT lattice parameters and positions (PBE+U)

Atomic structure:
```
16
Lattice="4.252 0.000 0.000 0.000 4.252 0.000 0.000 0.000 8.552" Properties=species:S:1:pos:R:3 pbc="T T T"
Mg 0.000 0.000 0.000
Mg 0.000 2.126 2.152
Mg 0.000 2.126 6.400
Mg 2.126 0.000 2.152
Mg 2.126 0.000 6.400
Mg 2.126 2.126 0.000
Mn 0.000 0.000 4.276
B 2.126 2.126 4.276
O 0.000 0.000 2.076
O 0.000 0.000 6.477
O 0.000 2.126 0.000
O 0.000 2.126 4.276
O 2.126 0.000 0.000
O 2.126 0.000 4.276
O 2.126 2.126 2.179
O 2.126 2.126 6.374
```

Most intense lines, 10° ≤ 2θ ≤ 80°, by angle:
- 2θ 20.89, 4.252 Å, rel. 12.5
- 2θ 23.36, 3.808 Å, rel. 17.1
- 2θ 29.63, 3.015 Å, rel. 11.1
- 2θ 36.53, 2.460 Å, rel. 19.8
- 2θ 38.00, 2.368 Å, rel. 7.3
- 2θ 42.27, 2.138 Å, rel. 50.7
- 2θ 42.52, 2.126 Å, rel. 100.0
- 2θ 49.08, 1.856 Å, rel. 4.6
- 2θ 61.51, 1.508 Å, rel. 56.0
- 2θ 61.70, 1.503 Å, rel. 27.8
- 2θ 73.88, 1.283 Å, rel. 8.0
- 2θ 77.64, 1.230 Å, rel. 25.2

(5)
Theoretical XRD peak list
Compound: LiAlCrO4
Radiation: a wavelength of 1.5418 Å
Structure: DFT lattice parameters and positions (PBE+U)

Atomic structure:
```
28
Lattice="2.892 0.000 0.000 0.000 9.319 0.000 0.000 0.000 10.188" Properties=species:S:1:pos:R:3 pbc="T T T"
Li 0.009 1.481 1.237
Li 1.437 7.838 6.331
Li 1.455 3.179 8.951
Li 2.883 6.140 3.857
Al 0.017 2.269 6.363
Al 1.429 7.049 1.269
Al 1.462 2.390 3.825
Al 2.875 6.929 8.919
Cr 0.048 9.117 3.512
Cr 1.398 0.202 8.606
Cr 1.494 4.861 6.676
Cr 2.844 4.458 1.582
O 0.011 1.375 4.684
O 0.023 3.269 3.027
O 0.034 3.746 7.588
O 0.052 1.075 9.496
O 1.394 8.243 4.401
O 1.412 5.573 2.494
O 1.423 6.050 8.121
O 1.434 7.944 9.778
O 1.457 3.284 5.505
O 1.469 1.390 7.161
O 1.480 0.914 2.600
O 1.497 3.584 0.693
O 2.840 5.735 5.787
O 2.858 8.405 7.694
O 2.869 7.928 2.067
O 2.880 6.034 0.410
```

Most intense lines, 10° ≤ 2θ ≤ 80°, by angle:
- 2θ 12.87, 6.876 Å, rel. 35.2
- 2θ 17.41, 5.094 Å, rel. 13.6
- 2θ 19.86, 4.470 Å, rel. 100.0
- 2θ 30.08, 2.971 Å, rel. 14.6
- 2θ 33.80, 2.652 Å, rel. 18.3
- 2θ 37.66, 2.389 Å, rel. 26.9
- 2θ 40.77, 2.213 Å, rel. 30.3
- 2θ 46.09, 1.970 Å, rel. 14.2
- 2θ 50.83, 1.796 Å, rel. 21.0
- 2θ 58.88, 1.568 Å, rel. 17.3
- 2θ 61.98, 1.497 Å, rel. 12.5
- 2θ 64.43, 1.446 Å, rel. 18.0

(6)
Theoretical XRD peak list
Compound: MnP2H8O10
Radiation: a wavelength of 1.5418 Å
Structure: DFT lattice parameters and positions (PBE+U)

Atomic structure:
```
42
Lattice="5.469 0.000 0.000 0.000 10.240 0.000 -4.774 0.000 7.354" Properties=species:S:1:pos:R:3 pbc="T T T"
Mn 0.000 0.000 0.000
Mn -2.387 5.120 3.677
P -1.100 2.217 2.436
P -3.487 2.904 6.113
P 4.182 7.337 1.241
P 1.795 8.024 4.918
H 0.585 7.356 0.110
H -1.802 8.004 3.787
H -1.733 0.817 6.116
H 0.654 4.303 2.439
H 1.189 5.546 1.664
H -1.198 9.815 5.341
H -0.359 1.219 4.297
H 2.029 3.901 0.620
H -1.334 6.339 6.734
H 1.053 9.021 3.057
H 1.892 0.425 2.013
H -0.495 4.695 5.690
H 0.041 5.938 4.915
H 2.428 9.423 1.238
H 2.497 2.236 3.567
H 0.110 2.884 7.244
O -1.602 6.883 2.659
O -3.989 8.477 6.336
O -3.401 1.391 6.322
O -1.014 3.730 2.645
O 0.175 6.815 0.872
O -2.212 8.546 4.549
O -0.065 1.468 3.374
O -2.452 3.652 7.051
O -0.809 5.523 5.244
O 1.579 9.837 1.567
O -0.884 0.403 5.787
O 1.503 4.717 2.110
O 3.147 6.589 0.303
O 0.759 8.772 3.981
O 2.907 1.695 2.805
O 0.519 3.425 6.482
O 1.709 6.511 4.709
O 4.096 8.850 1.032
O 4.684 1.763 1.018
O 2.297 3.357 4.695
```

Most intense lines, 10° ≤ 2θ ≤ 80°, by angle:
- 2θ 14.83, 5.973 Å, rel. 48.9
- 2θ 18.46, 4.808 Å, rel. 48.1
- 2θ 19.35, 4.587 Å, rel. 95.7
- 2θ 21.20, 4.192 Å, rel. 24.6
- 2θ 25.74, 3.461 Å, rel. 55.4
- 2θ 26.08, 3.417 Å, rel. 19.4
- 2θ 27.50, 3.243 Å, rel. 100.0
- 2θ 28.84, 3.096 Å, rel. 43.2
- 2θ 29.33, 3.045 Å, rel. 29.8
- 2θ 37.19, 2.418 Å, rel. 24.5
- 2θ 39.28, 2.294 Å, rel. 20.8
- 2θ 45.21, 2.005 Å, rel. 18.1